TaAl4: simulated PXRD pattern (a wavelength of 1.5418 Å), based on a structure optimized by DFT (GGA-PBE).

Cell and atoms:
Lattice parameters (Å, degrees): 9.814 9.814 5.146 90.00 90.00 90.00
Element x y z (fractional)
Ta 0.000 0.000 0.000
Ta 0.115 0.115 0.500
Ta 0.385 0.615 0.000
Ta 0.500 0.500 0.500
Ta 0.615 0.385 0.000
Ta 0.885 0.885 0.500
Al 0.038 0.375 0.500
Al 0.074 0.266 0.000
Al 0.125 0.538 0.000
Al 0.175 0.825 0.252
Al 0.175 0.825 0.748
Al 0.234 0.574 0.500
Al 0.266 0.074 0.000
Al 0.325 0.325 0.248
Al 0.325 0.325 0.752
Al 0.375 0.038 0.500
Al 0.426 0.766 0.500
Al 0.462 0.875 0.000
Al 0.538 0.125 0.000
Al 0.574 0.234 0.500
Al 0.625 0.962 0.500
Al 0.675 0.675 0.248
Al 0.675 0.675 0.752
Al 0.734 0.926 0.000
Al 0.766 0.426 0.500
Al 0.825 0.175 0.252
Al 0.825 0.175 0.748
Al 0.875 0.462 0.000
Al 0.926 0.734 0.000
Al 0.962 0.625 0.500

Principal peaks in the range 2θ from 15° to 90°, most intense first:
- hkl 4 1 1, 2θ = 41.8°, I 100
- hkl 2 1 2, 2θ = 40.6°, I 44
- hkl 2 1 0, 2θ = 20.2°, I 40
- hkl 2 2 1, 2θ = 31.1°, I 36
- hkl 3 0 1, 2θ = 32.4°, I 34
- hkl 0 0 2, 2θ = 34.9°, I 27
- hkl 4 1 3, 2θ = 67.3°, I 25
- hkl 3 3 1, 2θ = 42.9°, I 23